Diffraction record for Na4CO4. The powder diffraction line list is simulated, not measured: it uses the PBE geometry in the Materials Project and Cu Ka.
Intensities are scaled so that the largest is 100.

a = 7.004 Å, b = 7.669 Å, c = 5.436 Å
α = 90.00°, β = 108.45°, γ = 90.00°
Space group Cm (No. 8)
Symmetry-distinct sites (fractional):
Na1 0.000 0.207 0.000 x4
Na2 0.134 0.218 0.515 x4
C1 0.310 0.500 0.427 x2
O1 0.003 0.000 0.672 x2
O2 0.150 0.500 0.520 x2
O3 0.317 0.347 0.280 x4

The 10 most intense peaks (2θ from 10° to 90°), by angle:
(hkl), 2θ (°), Rel. int.
0 0 1, 17.20, 41
1 1 0, 17.66, 100
1 1 -1, 21.55, 21
0 2 0, 23.20, 22
2 2 -1, 35.82, 25
2 0 1, 36.52, 45
2 0 -2, 36.74, 21
2 2 -2, 43.91, 21
1 3 -2, 48.98, 20
1 3 2, 55.35, 18